The following is a computed X-ray powder pattern of LiFe2OF3. It was derived from a crystal structure in Alexandria, relaxed with PBE+U, using Cu Kα, 1.54184 Å.

Structural model:
```
data_LiFe2OF3
_chemical_formula_sum 'Li4 Fe8 O4 F12'
_cell_length_a 10.489
_cell_length_b 6.221
_cell_length_c 5.185
_cell_angle_alpha 90.00
_cell_angle_beta 90.00
_cell_angle_gamma 90.00
_symmetry_space_group_name_H-M 'P 1'
_symmetry_Int_Tables_number 1
loop_
_symmetry_equiv_pos_as_xyz
'x,y,z'
loop_
_atom_site_label
_atom_site_fract_x
_atom_site_fract_y
_atom_site_fract_z
_atom_site_occupancy
Li1 0.091 0.250 0.023 1
Li2 0.409 0.750 0.523 1
Li3 0.591 0.250 0.477 1
Li4 0.909 0.750 0.977 1
Fe1 0.000 0.000 0.500 1
Fe2 0.000 0.500 0.500 1
Fe3 0.241 0.750 0.998 1
Fe4 0.259 0.250 0.498 1
Fe5 0.500 0.000 0.000 1
Fe6 0.500 0.500 0.000 1
Fe7 0.741 0.750 0.502 1
Fe8 0.759 0.250 0.002 1
O1 0.087 0.250 0.660 1
O2 0.413 0.750 0.160 1
O3 0.587 0.250 0.840 1
O4 0.913 0.750 0.340 1
F1 0.074 0.750 0.794 1
F2 0.167 0.016 0.219 1
F3 0.167 0.484 0.219 1
F4 0.333 0.516 0.719 1
F5 0.333 0.984 0.719 1
F6 0.426 0.250 0.294 1
F7 0.574 0.750 0.706 1
F8 0.667 0.016 0.281 1
F9 0.667 0.484 0.281 1
F10 0.833 0.516 0.781 1
F11 0.833 0.984 0.781 1
F12 0.926 0.250 0.206 1
```

Top 6 peaks for 15 to 90 degrees two-theta, by intensity:
2θ (°), I/Imax
23.90, 100
48.92, 69
19.09, 56
34.15, 38
30.84, 38
34.70, 34